Entry 1:
# SmYHoTm2
Simulated powder diffraction line list, Cu Kα X-rays. Input: the PBE geometry in Alexandria.

Largest 8 diffraction maxima, in order of rising 2θ, 2θ = 10–90°:
15.5 deg, I 53; 28.2 deg, I 44; 29.4 deg, I 52; 31.4 deg, I 64; 33.0 deg, I 100; 36.1 deg, I 60; 40.3 deg, I 49; 46.2 deg, I 65

```
SmYHoTm2
1.0
4.154 -5.705 0.000
4.154 5.705 0.000
0.000 0.000 7.164
Sm Y Ho Tm
2 2 2 4
direct
0.220 0.780 0.750
0.780 0.220 0.250
0.228 0.772 0.250
0.772 0.228 0.750
0.490 0.510 0.750
0.510 0.490 0.250
0.190 0.190 0.000
0.190 0.190 0.500
0.810 0.810 0.000
0.810 0.810 0.500
```

***

Entry 2:
# Sm2NiH6Rh
Simulated powder diffraction line list, Cu Kα X-rays. Input: the PBE geometry in Alexandria.

Largest 8 diffraction maxima, in order of rising 2θ, 2θ = 10–90°:
34.6 deg, I 51; 34.8 deg, I 100; 49.6 deg, I 9; 49.8 deg, I 9; 50.4 deg, I 9; 62.1 deg, I 37; 62.5 deg, I 18; 73.5 deg, I 11

```
Sm2NiH6Rh
1.0
0.000 3.664 3.673
3.623 0.000 3.673
3.623 3.664 0.000
Sm Ni H Rh
2 1 6 1
direct
0.250 0.250 0.250
0.750 0.750 0.750
0.000 0.000 0.000
0.243 0.243 0.757
0.243 0.757 0.243
0.244 0.756 0.756
0.756 0.244 0.244
0.757 0.243 0.757
0.757 0.757 0.243
0.500 0.500 0.500
```